The following is a simulated powder X-ray diffraction pattern of Li2SmYS4. It was derived from a GGA-PBE-relaxed structure, using a wavelength of 1.5418 Å.
Kinematic intensities with the Lorentz-polarization factor, no thermal factor.

Most intense lines, 15° ≤ 2θ ≤ 90°, sorted by position:
| h k l | d/Å | intensity |
| --- | --- | --- |
| 1 0 -2 | 3.374 | 62 |
| 0 0 2 | 3.218 | 13 |
| 1 1 1 | 2.759 | 100 |
| 2 1 -1 | 2.520 | 29 |
| 2 1 1 | 2.099 | 16 |
| 0 2 0 | 1.981 | 36 |
| 2 0 2 | 1.923 | 33 |
| 0 1 3 | 1.887 | 23 |
| 2 2 -2 | 1.609 | 18 |
| 4 2 0 | 1.219 | 14 |

Atomic structure:
a b c (Å): 6.596 3.963 6.861
angles (deg): 90.00 110.22 90.00
Space group P2/m (No. 10)
Asymmetric unit:
Li 0.000 0.000 0.000 [1 per cell]
Li 0.000 0.500 0.500 [1 per cell]
Sm 0.500 0.000 0.500 [1 per cell]
Y 0.500 0.500 0.000 [1 per cell]
S 0.246 0.500 0.244 [2 per cell]
S 0.248 0.000 0.754 [2 per cell]

---

The following is a simulated powder X-ray diffraction pattern of Fe3I8Br. It was derived from a GGA-PBE-relaxed structure, using a wavelength of 1.5418 Å.
Kinematic intensities with the Lorentz-polarization factor, no thermal factor.

Most intense lines, 15° ≤ 2θ ≤ 90°, sorted by position:
| h k l | d/Å | intensity |
| --- | --- | --- |
| 1 1 -2 | 4.503 | 36 |
| 2 0 2 | 3.802 | 49 |
| 2 0 -3 | 3.424 | 60 |
| 2 2 0 | 3.346 | 100 |
| 0 2 2 | 3.283 | 82 |
| 4 0 0 | 2.982 | 39 |
| 0 2 3 | 2.748 | 39 |
| 4 2 -3 | 2.148 | 37 |
| 4 2 2 | 2.112 | 47 |
| 2 2 -5 | 1.947 | 27 |

Atomic structure:
a b c (Å): 12.077 8.085 11.379
angles (deg): 90.00 99.05 90.00
Space group C2/m (No. 12)
Asymmetric unit:
Fe 0.000 0.000 0.000 [2 per cell]
Fe 0.159 0.500 0.184 [4 per cell]
I 0.030 0.241 0.183 [8 per cell]
I 0.232 0.000 0.608 [4 per cell]
I 0.234 0.000 0.994 [4 per cell]
Br 0.000 0.000 0.500 [2 per cell]

---

Copy entry 2 word for word.
The following is a simulated powder X-ray diffraction pattern of Fe3I8Br. It was derived from a GGA-PBE-relaxed structure, using a wavelength of 1.5418 Å.
Kinematic intensities with the Lorentz-polarization factor, no thermal factor.

Most intense lines, 15° ≤ 2θ ≤ 90°, sorted by position:
| h k l | d/Å | intensity |
| --- | --- | --- |
| 1 1 -2 | 4.503 | 36 |
| 2 0 2 | 3.802 | 49 |
| 2 0 -3 | 3.424 | 60 |
| 2 2 0 | 3.346 | 100 |
| 0 2 2 | 3.283 | 82 |
| 4 0 0 | 2.982 | 39 |
| 0 2 3 | 2.748 | 39 |
| 4 2 -3 | 2.148 | 37 |
| 4 2 2 | 2.112 | 47 |
| 2 2 -5 | 1.947 | 27 |

Atomic structure:
a b c (Å): 12.077 8.085 11.379
angles (deg): 90.00 99.05 90.00
Space group C2/m (No. 12)
Asymmetric unit:
Fe 0.000 0.000 0.000 [2 per cell]
Fe 0.159 0.500 0.184 [4 per cell]
I 0.030 0.241 0.183 [8 per cell]
I 0.232 0.000 0.608 [4 per cell]
I 0.234 0.000 0.994 [4 per cell]
Br 0.000 0.000 0.500 [2 per cell]